[1]
# YPu2Cu2Si2
Computed powder X-ray diffraction pattern, a wavelength of 1.5418 Å. Input: DFT lattice parameters and positions (PBE).
Intensities are scaled so that the largest is 100.

The 10 most intense peaks (2θ = 10–90°), in order of falling intensity:
| two_theta | d/Å | Rel. int. | hkl |
| --- | --- | --- | --- |
| 35.24 | 2.547 | 100 | 1 0 7 |
| 45.83 | 1.980 | 77 | 1 1 0 |
| 29.30 | 3.049 | 41 | 1 0 4 |
| 26.20 | 3.402 | 31 | 1 0 1 |
| 20.01 | 4.436 | 25 | 0 0 6 |
| 47.02 | 1.933 | 24 | 1 1 3 |
| 59.10 | 1.563 | 23 | 0 2 7 |
| 77.85 | 1.227 | 20 | 2 1 7 |
| 55.27 | 1.662 | 18 | 0 1 14 |
| 52.02 | 1.758 | 17 | 1 0 13 |

Structure:
```
data_YPu2Cu2Si2
_chemical_formula_sum 'Y3 Pu6 Cu6 Si6'
_symmetry_space_group_name_H-M 'R -3 m'
_symmetry_Int_Tables_number 166
_symmetry_space_group_name_Hall '-R 3 2"'
_cell_length_a 3.9604
_cell_length_b 3.9604
_cell_length_c 26.6181
_cell_angle_alpha 90.00
_cell_angle_beta 90.00
_cell_angle_gamma 120.00
loop_
_atom_site_label
_atom_site_type_symbol
_atom_site_fract_x
_atom_site_fract_y
_atom_site_fract_z
Y1 Y 0.0000 0.0000 0.0000
Pu1 Pu 0.0000 0.0000 0.1499
Cu1 Cu 0.0000 0.0000 0.4082
Si1 Si 0.0000 0.0000 0.2576
```

***

[2]
# TbPu2Cu9
Computed powder X-ray diffraction pattern, a wavelength of 1.5418 Å. Input: DFT lattice parameters and positions (PBE).
Intensities are scaled so that the largest is 100.

The 10 most intense peaks (2θ = 10–90°), in order of falling intensity:
| two_theta | d/Å | Rel. int. | hkl |
| --- | --- | --- | --- |
| 41.28 | 2.187 | 100 | 1 1 6 |
| 34.99 | 2.564 | 65 | 1 1 0 |
| 32.04 | 2.793 | 47 | 1 0 7 |
| 67.04 | 1.396 | 36 | 2 0 14 |
| 40.80 | 2.212 | 28 | 0 2 1 |
| 43.18 | 2.095 | 22 | 0 0 12 |
| 10.55 | 8.384 | 17 | 0 0 3 |
| 73.94 | 1.282 | 17 | 2 2 0 |
| 44.59 | 2.032 | 16 | 0 1 11 |
| 62.77 | 1.480 | 16 | 3 0 0 |

Structure:
```
data_TbPu2Cu9
_chemical_formula_sum 'Tb3 Pu6 Cu27'
_symmetry_space_group_name_H-M 'R -3 m'
_symmetry_Int_Tables_number 166
_symmetry_space_group_name_Hall '-R 3 2"'
_cell_length_a 5.1275
_cell_length_b 5.1275
_cell_length_c 25.1535
_cell_angle_alpha 90.00
_cell_angle_beta 90.00
_cell_angle_gamma 120.00
loop_
_atom_site_label
_atom_site_type_symbol
_atom_site_fract_x
_atom_site_fract_y
_atom_site_fract_z
Tb1 Tb 0.0000 0.0000 0.0000
Pu1 Pu 0.0000 0.0000 0.1472
Cu1 Cu 0.0000 0.0000 0.3318
Cu2 Cu 0.0000 0.0000 0.5000
Cu3 Cu 0.0035 0.5017 0.0807
```

***

[3]
# Pu2Cu3Tc
Computed powder X-ray diffraction pattern, a wavelength of 1.5418 Å. Input: DFT lattice parameters and positions (PBE).
Intensities are scaled so that the largest is 100.

The 10 most intense peaks (2θ = 10–90°), in order of falling intensity:
| two_theta | d/Å | Rel. int. | hkl |
| --- | --- | --- | --- |
| 40.82 | 2.211 | 100 | 3 1 0 |
| 35.58 | 2.523 | 59 | 0 2 0 |
| 33.14 | 2.703 | 51 | 1 1 1 |
| 38.66 | 2.329 | 28 | 1 1 -2 |
| 19.35 | 4.588 | 27 | 0 0 1 |
| 41.86 | 2.158 | 26 | 2 2 -1 |
| 69.55 | 1.352 | 17 | 4 0 -4 |
| 62.36 | 1.489 | 17 | 5 1 -3 |
| 21.33 | 4.165 | 15 | 2 0 -1 |
| 67.43 | 1.389 | 15 | 3 3 0 |

Structure:
```
data_Pu2Cu3Tc
_chemical_formula_sum 'Pu4 Cu6 Tc2'
_symmetry_space_group_name_H-M 'C 1 2/m 1'
_symmetry_Int_Tables_number 12
_symmetry_space_group_name_Hall '-C 2y'
_cell_length_a 8.731
_cell_length_b 5.051
_cell_length_c 5.434
_cell_angle_alpha 90.00
_cell_angle_beta 122.41
_cell_angle_gamma 90.00
loop_
_atom_site_label
_atom_site_type_symbol
_atom_site_fract_x
_atom_site_fract_y
_atom_site_fract_z
Pu1 Pu 0.135 0.000 0.404
Cu1 Cu 0.000 0.500 0.000
Cu2 Cu 0.250 0.250 0.000
Tc1 Tc 0.000 0.500 0.500
```

***

[4]
# Pu3TlCu8
Computed powder X-ray diffraction pattern, a wavelength of 1.5418 Å. Input: DFT lattice parameters and positions (PBE).
Intensities are scaled so that the largest is 100.

The 10 most intense peaks (2θ = 10–90°), in order of falling intensity:
| two_theta | d/Å | Rel. int. | hkl |
| --- | --- | --- | --- |
| 40.56 | 2.224 | 100 | 1 1 6 |
| 34.39 | 2.608 | 76 | 1 1 0 |
| 20.86 | 4.259 | 27 | 0 0 6 |
| 61.58 | 1.506 | 22 | 1 2 8 |
| 65.76 | 1.420 | 20 | 2 0 14 |
| 82.74 | 1.166 | 13 | 3 1 8 |
| 65.81 | 1.419 | 12 | 3 0 6 |
| 72.53 | 1.303 | 11 | 2 2 0 |
| 72.43 | 1.305 | 11 | 0 2 16 |
| 42.45 | 2.130 | 11 | 0 0 12 |

Structure:
```
data_Pu3TlCu8
_chemical_formula_sum 'Pu9 Tl3 Cu24'
_symmetry_space_group_name_H-M 'R 3 m'
_symmetry_Int_Tables_number 160
_symmetry_space_group_name_Hall 'R 3 -2"'
_cell_length_a 5.2129
_cell_length_b 5.2129
_cell_length_c 25.5874
_cell_angle_alpha 90.00
_cell_angle_beta 90.00
_cell_angle_gamma 120.00
loop_
_atom_site_label
_atom_site_type_symbol
_atom_site_fract_x
_atom_site_fract_y
_atom_site_fract_z
Pu1 Pu 0.0000 0.0000 0.0000
Pu2 Pu 0.0000 0.0000 0.1241
Pu3 Pu 0.0000 0.0000 0.6269
Tl1 Tl 0.0000 0.0000 0.5003
Cu1 Cu 0.0000 0.0000 0.3127
Cu2 Cu 0.0000 0.0000 0.8132
Cu3 Cu 0.0012 0.5006 0.0631
Cu4 Cu 0.0015 0.5007 0.5624
```

***

[5]
# TmPu3Cu8
Computed powder X-ray diffraction pattern, a wavelength of 1.5418 Å. Input: DFT lattice parameters and positions (PBE).
Intensities are scaled so that the largest is 100.

The 10 most intense peaks (2θ = 10–90°), in order of falling intensity:
| two_theta | d/Å | Rel. int. | hkl |
| --- | --- | --- | --- |
| 40.53 | 2.226 | 100 | 1 1 2 |
| 37.48 | 2.399 | 86 | 1 0 3 |
| 34.31 | 2.614 | 68 | 1 1 0 |
| 41.28 | 2.187 | 43 | 0 2 1 |
| 63.54 | 1.464 | 38 | 2 1 3 |
| 69.17 | 1.358 | 27 | 0 2 5 |
| 65.66 | 1.422 | 25 | 0 3 2 |
| 72.30 | 1.307 | 21 | 2 2 0 |
| 28.83 | 3.096 | 20 | 1 0 2 |
| 19.61 | 4.527 | 18 | 1 0 0 |

Structure:
```
data_TmPu3Cu8
_chemical_formula_sum 'Tm1 Pu3 Cu8'
_symmetry_space_group_name_H-M 'P 3 m 1'
_symmetry_Int_Tables_number 156
_symmetry_space_group_name_Hall 'P 3 -2"'
_cell_length_a 5.2277
_cell_length_b 5.2277
_cell_length_c 8.4888
_cell_angle_alpha 90.00
_cell_angle_beta 90.00
_cell_angle_gamma 120.00
loop_
_atom_site_label
_atom_site_type_symbol
_atom_site_fract_x
_atom_site_fract_y
_atom_site_fract_z
Tm1 Tm 0.0000 0.0000 0.0000
Pu1 Pu 0.0000 0.0000 0.3898
Pu2 Pu 0.6667 0.3333 0.4933
Pu3 Pu 0.6667 0.3333 0.8748
Cu1 Cu 0.0021 0.5010 0.1858
Cu2 Cu 0.1680 0.3359 0.6942
Cu3 Cu 0.3333 0.6667 0.4414
Cu4 Cu 0.3333 0.6667 0.9410
```

***

[6]
# YPu3Cu8
Computed powder X-ray diffraction pattern, a wavelength of 1.5418 Å. Input: DFT lattice parameters and positions (PBE).
Intensities are scaled so that the largest is 100.

The 10 most intense peaks (2θ = 10–90°), in order of falling intensity:
| two_theta | d/Å | Rel. int. | hkl |
| --- | --- | --- | --- |
| 40.39 | 2.233 | 100 | 1 1 2 |
| 37.37 | 2.407 | 83 | 1 0 3 |
| 34.18 | 2.623 | 64 | 1 1 0 |
| 41.12 | 2.195 | 46 | 0 2 1 |
| 63.30 | 1.469 | 37 | 2 1 3 |
| 68.93 | 1.362 | 27 | 0 2 5 |
| 65.40 | 1.427 | 25 | 0 3 2 |
| 72.00 | 1.312 | 20 | 2 2 0 |
| 28.74 | 3.106 | 20 | 1 0 2 |
| 57.86 | 1.594 | 20 | 1 0 5 |

Structure:
```
data_YPu3Cu8
_chemical_formula_sum 'Y1 Pu3 Cu8'
_symmetry_space_group_name_H-M 'P 3 m 1'
_symmetry_Int_Tables_number 156
_symmetry_space_group_name_Hall 'P 3 -2"'
_cell_length_a 5.2464
_cell_length_b 5.2464
_cell_length_c 8.5118
_cell_angle_alpha 90.00
_cell_angle_beta 90.00
_cell_angle_gamma 120.00
loop_
_atom_site_label
_atom_site_type_symbol
_atom_site_fract_x
_atom_site_fract_y
_atom_site_fract_z
Y1 Y 0.0000 0.0000 0.0000
Pu1 Pu 0.0000 0.0000 0.3913
Pu2 Pu 0.6667 0.3333 0.4937
Pu3 Pu 0.6667 0.3333 0.8745
Cu1 Cu 0.0025 0.5012 0.1879
Cu2 Cu 0.1686 0.3373 0.6928
Cu3 Cu 0.3333 0.6667 0.4413
Cu4 Cu 0.3333 0.6667 0.9410
```

***

[7]
# PuZn12Cu6
Computed powder X-ray diffraction pattern, a wavelength of 1.5418 Å. Input: DFT lattice parameters and positions (PBE).
Intensities are scaled so that the largest is 100.

The 10 most intense peaks (2θ = 10–90°), in order of falling intensity:
| two_theta | d/Å | Rel. int. | hkl |
| --- | --- | --- | --- |
| 35.52 | 2.527 | 100 | 1 3 1 |
| 35.74 | 2.512 | 73 | 1 1 3 |
| 26.85 | 3.320 | 48 | 2 1 1 |
| 46.95 | 1.935 | 45 | 0 2 4 |
| 52.57 | 1.741 | 45 | 5 0 2 |
| 46.69 | 1.946 | 39 | 2 3 2 |
| 32.60 | 2.747 | 28 | 1 2 2 |
| 40.16 | 2.245 | 27 | 3 1 2 |
| 42.82 | 2.112 | 24 | 0 3 3 |
| 42.63 | 2.121 | 20 | 3 2 1 |

Structure:
```
data_PuZn12Cu6
_chemical_formula_sum 'Pu3 Zn36 Cu18'
_symmetry_space_group_name_H-M 'R -3 m'
_symmetry_Int_Tables_number 166
_symmetry_space_group_name_Hall '-R 3 2"'
_cell_length_a 11.0254
_cell_length_b 11.0254
_cell_length_c 8.4680
_cell_angle_alpha 90.00
_cell_angle_beta 90.00
_cell_angle_gamma 120.00
loop_
_atom_site_label
_atom_site_type_symbol
_atom_site_fract_x
_atom_site_fract_y
_atom_site_fract_z
Pu1 Pu 0.0000 0.0000 0.0000
Zn1 Zn 0.0000 0.3867 0.5000
Zn2 Zn 0.0856 0.1712 0.3090
Cu1 Cu 0.0529 0.5264 0.2442
```

***

[8]
# Rb2Cu2S3
Computed powder X-ray diffraction pattern, a wavelength of 1.5418 Å. Input: DFT lattice parameters and positions (PBE).
Intensities are scaled so that the largest is 100.

The 10 most intense peaks (2θ = 10–90°), in order of falling intensity:
| two_theta | d/Å | Rel. int. | hkl |
| --- | --- | --- | --- |
| 29.69 | 3.009 | 100 | 1 1 1 |
| 33.16 | 2.701 | 93 | 2 0 -3 |
| 32.02 | 2.795 | 93 | 1 1 -2 |
| 26.82 | 3.325 | 74 | 2 0 1 |
| 45.66 | 1.987 | 63 | 0 2 0 |
| 28.68 | 3.113 | 58 | 4 0 -1 |
| 30.84 | 2.900 | 57 | 3 1 -1 |
| 34.17 | 2.624 | 49 | 3 1 0 |
| 49.13 | 1.854 | 47 | 5 1 0 |
| 28.88 | 3.091 | 39 | 4 0 -2 |

Structure:
```
data_Rb2Cu2S3
_chemical_formula_sum 'Rb4 Cu4 S6'
_symmetry_space_group_name_H-M 'C 1 2/m 1'
_symmetry_Int_Tables_number 12
_symmetry_space_group_name_Hall '-C 2y'
_cell_length_a 12.751
_cell_length_b 3.973
_cell_length_c 8.213
_cell_angle_alpha 90.00
_cell_angle_beta 124.69
_cell_angle_gamma 90.00
loop_
_atom_site_label
_atom_site_type_symbol
_atom_site_fract_x
_atom_site_fract_y
_atom_site_fract_z
Rb1 Rb 0.067 0.000 0.348
Cu1 Cu 0.201 0.500 0.075
S1 S 0.000 0.500 0.000
S2 S 0.197 0.500 0.777
```

***

[9]
# Rb2CuS3
Computed powder X-ray diffraction pattern, a wavelength of 1.5418 Å. Input: DFT lattice parameters and positions (PBE).
Intensities are scaled so that the largest is 100.

The 10 most intense peaks (2θ = 10–90°), in order of falling intensity:
| two_theta | d/Å | Rel. int. | hkl |
| --- | --- | --- | --- |
| 21.73 | 4.090 | 100 | 0 1 2 |
| 15.29 | 5.794 | 81 | 0 0 2 |
| 26.76 | 3.331 | 78 | 1 1 0 |
| 34.73 | 2.583 | 76 | 2 0 2 |
| 44.38 | 2.041 | 53 | 1 2 2 |
| 41.29 | 2.187 | 48 | 1 1 4 |
| 30.85 | 2.899 | 47 | 0 0 4 |
| 64.53 | 1.444 | 28 | 2 2 4 |
| 57.53 | 1.602 | 25 | 3 0 4 |
| 55.14 | 1.666 | 22 | 2 2 0 |

Structure:
```
data_Rb2CuS3
_chemical_formula_sum 'Rb4 Cu2 S6'
_symmetry_space_group_name_H-M 'P -3 m 1'
_symmetry_Int_Tables_number 164
_symmetry_space_group_name_Hall '-P 3 2"'
_cell_length_a 6.6621
_cell_length_b 6.6621
_cell_length_c 11.5955
_cell_angle_alpha 90.00
_cell_angle_beta 90.00
_cell_angle_gamma 120.00
loop_
_atom_site_label
_atom_site_type_symbol
_atom_site_fract_x
_atom_site_fract_y
_atom_site_fract_z
Rb1 Rb 0.0000 0.0000 0.0000
Rb2 Rb 0.0000 0.0000 0.5000
Rb3 Rb 0.3333 0.6667 0.2490
Cu1 Cu 0.3333 0.6667 0.7500
S1 S 0.1472 0.2944 0.7501
```

***

[10]
# Rb3CuS2
Computed powder X-ray diffraction pattern, a wavelength of 1.5418 Å. Input: DFT lattice parameters and positions (PBE).
Intensities are scaled so that the largest is 100.

The 10 most intense peaks (2θ = 10–90°), in order of falling intensity:
| two_theta | d/Å | Rel. int. | hkl |
| --- | --- | --- | --- |
| 30.90 | 2.894 | 100 | 1 3 2 |
| 36.40 | 2.468 | 54 | 2 4 0 |
| 24.11 | 3.691 | 51 | 2 0 0 |
| 31.43 | 2.846 | 49 | 2 0 2 |
| 24.22 | 3.675 | 48 | 1 1 2 |
| 24.00 | 3.709 | 38 | 0 2 2 |
| 46.88 | 1.938 | 34 | 3 3 2 |
| 53.95 | 1.700 | 33 | 1 7 2 |
| 65.57 | 1.424 | 32 | 4 0 4 |
| 40.35 | 2.235 | 31 | 0 0 4 |

Structure:
```
data_Rb3CuS2
_chemical_formula_sum 'Rb12 Cu4 S8'
_symmetry_space_group_name_H-M 'I b a m'
_symmetry_Int_Tables_number 72
_symmetry_space_group_name_Hall '-I 2 2c'
_cell_length_a 7.381
_cell_length_b 13.281
_cell_length_c 8.942
_cell_angle_alpha 90.00
_cell_angle_beta 90.00
_cell_angle_gamma 90.00
loop_
_atom_site_label
_atom_site_type_symbol
_atom_site_fract_x
_atom_site_fract_y
_atom_site_fract_z
Rb1 Rb 0.000 0.000 0.250
Rb2 Rb 0.000 0.283 0.250
Cu1 Cu 0.000 0.500 0.000
S1 S 0.228 0.395 0.000
```

***

[11]
# RbScCuS2
Computed powder X-ray diffraction pattern, a wavelength of 1.5418 Å. Input: DFT lattice parameters and positions (PBE).
Intensities are scaled so that the largest is 100.

The 10 most intense peaks (2θ = 10–90°), in order of falling intensity:
| two_theta | d/Å | Rel. int. | hkl |
| --- | --- | --- | --- |
| 26.71 | 3.337 | 100 | 1 1 1 |
| 26.13 | 3.411 | 64 | 1 0 -2 |
| 23.92 | 3.720 | 63 | 2 0 0 |
| 31.95 | 2.801 | 58 | 1 1 -2 |
| 38.68 | 2.328 | 50 | 1 2 0 |
| 30.68 | 2.914 | 49 | 2 1 -1 |
| 36.22 | 2.480 | 47 | 1 1 2 |
| 48.98 | 1.860 | 35 | 4 0 0 |
| 43.79 | 2.067 | 33 | 0 1 3 |
| 11.90 | 7.440 | 33 | 1 0 0 |

Structure:
```
data_RbScCuS2
_chemical_formula_sum 'Rb2 Sc2 Cu2 S4'
_symmetry_space_group_name_H-M 'P 1 2/c 1'
_symmetry_Int_Tables_number 13
_symmetry_space_group_name_Hall '-P 2yc'
_cell_length_a 7.631
_cell_length_b 4.902
_cell_length_c 7.020
_cell_angle_alpha 90.00
_cell_angle_beta 102.87
_cell_angle_gamma 90.00
loop_
_atom_site_label
_atom_site_type_symbol
_atom_site_fract_x
_atom_site_fract_y
_atom_site_fract_z
Rb1 Rb 0.000 0.198 0.250
Sc1 Sc 0.500 0.495 0.750
Cu1 Cu 0.500 0.000 0.000
S1 S 0.286 0.308 0.950
```

***

[12]
# Rb2CuSi2S6
Computed powder X-ray diffraction pattern, a wavelength of 1.5418 Å. Input: DFT lattice parameters and positions (PBE).
Intensities are scaled so that the largest is 100.

The 10 most intense peaks (2θ = 10–90°), in order of falling intensity:
| two_theta | d/Å | Rel. int. | hkl |
| --- | --- | --- | --- |
| 25.28 | 3.523 | 100 | 0 1 5 |
| 34.33 | 2.612 | 69 | 0 2 4 |
| 25.95 | 3.433 | 66 | 1 1 0 |
| 31.18 | 2.869 | 55 | 2 0 2 |
| 45.37 | 1.999 | 47 | 1 2 5 |
| 45.76 | 1.983 | 41 | 3 0 0 |
| 53.38 | 1.716 | 37 | 2 2 0 |
| 24.42 | 3.645 | 31 | 0 0 6 |
| 36.54 | 2.459 | 25 | 2 0 5 |
| 45.05 | 2.012 | 17 | 2 0 8 |

Structure:
```
data_Rb2CuSi2S6
_chemical_formula_sum 'Rb6 Cu3 Si6 S18'
_symmetry_space_group_name_H-M 'R -3 m'
_symmetry_Int_Tables_number 166
_symmetry_space_group_name_Hall '-R 3 2"'
_cell_length_a 6.8659
_cell_length_b 6.8659
_cell_length_c 21.8705
_cell_angle_alpha 90.00
_cell_angle_beta 90.00
_cell_angle_gamma 120.00
loop_
_atom_site_label
_atom_site_type_symbol
_atom_site_fract_x
_atom_site_fract_y
_atom_site_fract_z
Rb1 Rb 0.0000 0.0000 0.2193
Cu1 Cu 0.0000 0.0000 0.0000
Si1 Si 0.0000 0.0000 0.4044
S1 S 0.0113 0.5056 0.7427
```

***

[13]
# Rb4Th3CuS8
Computed powder X-ray diffraction pattern, a wavelength of 1.5418 Å. Input: DFT lattice parameters and positions (PBE).
Intensities are scaled so that the largest is 100.

The 10 most intense peaks (2θ = 10–90°), in order of falling intensity:
| two_theta | d/Å | Rel. int. | hkl |
| --- | --- | --- | --- |
| 29.45 | 3.033 | 100 | 2 2 -2 |
| 11.50 | 7.695 | 58 | 0 0 1 |
| 28.92 | 3.087 | 53 | 4 0 0 |
| 26.12 | 3.411 | 51 | 2 2 0 |
| 23.12 | 3.847 | 39 | 0 0 2 |
| 40.15 | 2.246 | 38 | 2 2 2 |
| 43.30 | 2.089 | 36 | 6 2 -2 |
| 25.66 | 3.472 | 27 | 4 0 -2 |
| 39.93 | 2.258 | 19 | 4 0 -4 |
| 53.74 | 1.706 | 18 | 4 4 0 |

Structure:
```
data_Rb4Th3CuS8
_chemical_formula_sum 'Rb8 Th6 Cu2 S16'
_symmetry_space_group_name_H-M 'C 1 2/m 1'
_symmetry_Int_Tables_number 12
_symmetry_space_group_name_Hall '-C 2y'
_cell_length_a 14.579
_cell_length_b 8.185
_cell_length_c 9.085
_cell_angle_alpha 90.00
_cell_angle_beta 122.11
_cell_angle_gamma 90.00
loop_
_atom_site_label
_atom_site_type_symbol
_atom_site_fract_x
_atom_site_fract_y
_atom_site_fract_z
Rb1 Rb 0.000 0.000 0.000
Rb2 Rb 0.000 0.500 0.000
Rb3 Rb 0.250 0.250 0.000
Th1 Th 0.000 0.000 0.500
Th2 Th 0.250 0.250 0.500
Cu1 Cu 0.000 0.500 0.500
S1 S 0.022 0.255 0.314
S2 S 0.231 0.000 0.701
S3 S 0.244 0.500 0.704
```